This entry pairs a crystal structure of PrTmMnZn with its simulated powder diffractogram. Radiation: Cu Kα. Structure: a DFT-relaxed cell (PBE, Alexandria).
Peak positions follow from Bragg's law for the DFT cell and can differ from measured ones.

Principal peaks in the range 2θ from 10° to 90°, sorted by position:
hkl 1 1 1, 4.158 Å, 21.37 deg, intensity 1
hkl 2 0 0, 3.601 Å, 24.73 deg, intensity 21
hkl 2 2 0, 2.546 Å, 35.25 deg, intensity 100
hkl 2 2 2, 2.079 Å, 43.54 deg, intensity 7
hkl 4 0 0, 1.800 Å, 50.71 deg, intensity 18
hkl 4 2 0, 1.610 Å, 57.21 deg, intensity 9
hkl 4 2 2, 1.470 Å, 63.27 deg, intensity 36
hkl 4 4 0, 1.273 Å, 74.54 deg, intensity 11
hkl 6 0 0, 1.200 Å, 79.93 deg, intensity 5
hkl 6 2 0, 1.139 Å, 85.23 deg, intensity 15

Atomic structure:
a b c (Å): 7.201 7.201 7.201
angles (deg): 90.00 90.00 90.00
Space group F-43m (No. 216)
Inequivalent atoms, fractional coordinates:
1 Pr 0.000 0.000 0.000 x4
2 Tm 0.000 0.000 0.500 x4
3 Mn 0.250 0.250 0.750 x4
4 Zn 0.250 0.250 0.250 x4